# 1
The following is a computed XRD peak list of Ba4SrFe5O15. It was derived from a cell relaxed with GGA+U, using Cu Kα X-rays.
Peak positions follow from Bragg's law for the DFT cell and can differ from measured ones.

Atomic structure:
Lattice parameters (Å, degrees): 4.0122 4.0122 20.0879 90.00 90.00 90.00
Space group P4/mmm (No. 123)
Asymmetric unit:
Ba (0.0000, 0.0000, 0.1001) x2
Ba (0.0000, 0.0000, 0.3023) x2
Sr (0.0000, 0.0000, 0.5000) x1
Fe (0.5000, 0.5000, 0.0000) x1
Fe (0.5000, 0.5000, 0.2007) x2
Fe (0.5000, 0.5000, 0.4028) x2
O (0.0000, 0.5000, 0.0000) x2
O (0.0000, 0.5000, 0.2013) x4
O (0.0000, 0.5000, 0.4057) x4
O (0.5000, 0.5000, 0.0998) x2
O (0.5000, 0.5000, 0.3042) x2
O (0.5000, 0.5000, 0.5000) x1

Most intense lines, 10 to 80 degrees two-theta, low angle first:
two_theta	d (Å)	I_rel	hkl
22.15	4.014	8.7	0 0 5
31.52	2.838	100.0	1 1 0
38.86	2.317	17.3	1 1 5
45.18	2.007	34.2	2 0 0
50.87	1.795	4.9	2 0 5
56.13	1.639	38.3	2 1 5
65.81	1.419	20.1	2 2 0
74.73	1.270	5.4	1 0 15
74.83	1.269	11.0	3 1 0
79.16	1.210	3.7	3 1 5

---

# 2
The following is a computed XRD peak list of BaSrFe4O12. It was derived from a cell relaxed with GGA+U, using Cu Kα X-rays.
Peak positions follow from Bragg's law for the DFT cell and can differ from measured ones.

Atomic structure:
Lattice parameters (Å, degrees): 5.4985 5.4985 7.7860 90.00 90.00 90.00
Space group P4/mmm (No. 123)
Asymmetric unit:
Ba (0.0000, 0.0000, 0.0000) x1
Sr (0.5000, 0.5000, 0.5000) x1
Fe (0.0000, 0.5000, 0.2517) x4
O (0.0000, 0.5000, 0.0000) x2
O (0.0000, 0.5000, 0.5000) x2
O (0.2547, 0.2547, 0.2557) x8

Most intense lines, 10 to 80 degrees two-theta, low angle first:
two_theta	d (Å)	I_rel	hkl
19.77	4.491	74.0	1 0 1
32.56	2.750	100.0	2 0 0
38.38	2.346	40.4	2 1 1
46.71	1.945	47.4	2 2 0
51.18	1.785	17.4	2 1 3
58.09	1.588	37.9	2 0 4
61.99	1.497	13.2	3 0 3
68.19	1.375	26.4	4 0 0
71.79	1.315	12.8	4 1 1
77.60	1.230	10.8	3 3 2

---

# 3
The following is a computed XRD peak list of Ba4SrFe5O15. It was derived from a cell relaxed with GGA+U, using Cu Kα X-rays.
Peak positions follow from Bragg's law for the DFT cell and can differ from measured ones.

Atomic structure:
Lattice parameters (Å, degrees): 8.0202 8.0239 40.5118 90.00 90.00 90.00
Space group Fmm2 (No. 42)
Asymmetric unit:
Ba (0.2500, 0.2500, 0.0000) x8
Ba (0.2500, 0.2500, 0.1004) x8
Ba (0.2500, 0.2500, 0.2023) x8
Ba (0.2500, 0.2500, 0.3990) x8
Sr (0.2500, 0.2500, 0.3004) x8
Fe (0.0000, 0.0000, 0.0501) x4
Fe (0.0000, 0.0000, 0.1506) x4
Fe (0.0000, 0.0000, 0.2520) x4
Fe (0.0000, 0.0000, 0.3490) x4
Fe (0.0000, 0.0000, 0.4492) x4
Fe (0.0000, 0.0000, 0.5505) x4
Fe (0.0000, 0.0000, 0.6531) x4
Fe (0.0000, 0.0000, 0.7515) x4
Fe (0.0000, 0.0000, 0.8487) x4
Fe (0.0000, 0.0000, 0.9508) x4
O (0.0000, 0.0000, 0.0012) x4
O (0.0000, 0.0000, 0.1000) x4
O (0.0000, 0.0000, 0.2039) x4
O (0.0000, 0.0000, 0.3005) x4
O (0.0000, 0.0000, 0.3970) x4
O (0.0000, 0.0000, 0.5017) x4
O (0.0000, 0.0000, 0.5974) x4
O (0.0000, 0.0000, 0.7027) x4
O (0.0000, 0.0000, 0.8021) x4
O (0.0000, 0.0000, 0.8958) x4
O (0.0000, 0.2462, 0.8472) x8
O (0.0000, 0.2478, 0.5501) x8
O (0.0000, 0.2479, 0.6513) x8
O (0.0000, 0.2487, 0.7541) x8
O (0.0000, 0.2504, 0.4491) x8
O (0.2474, 0.0000, 0.5501) x8
O (0.2481, 0.0000, 0.6513) x8
O (0.2490, 0.0000, 0.7540) x8
O (0.2489, 0.0000, 0.8471) x8
O (0.2495, 0.0000, 0.9491) x8

Most intense lines, 10 to 80 degrees two-theta, low angle first:
two_theta	d (Å)	I_rel	hkl
31.38	2.850	100.0	2 0 10
31.54	2.836	49.5	2 2 0
38.76	2.323	25.8	2 2 10
44.74	2.026	17.0	0 0 20
45.21	2.006	34.0	4 0 0
55.77	1.648	19.1	2 2 20
56.07	1.640	38.0	4 2 10
65.50	1.425	19.8	4 0 20
65.86	1.418	10.0	4 4 0
74.80	1.269	12.3	2 6 0

---

# 4
The following is a computed XRD peak list of BaTbFe2O5. It was derived from a cell relaxed with GGA+U, using Cu Kα X-rays.
Peak positions follow from Bragg's law for the DFT cell and can differ from measured ones.

Atomic structure:
Lattice parameters (Å, degrees): 3.9790 3.9790 7.6078 90.00 90.00 90.00
Space group P4/mmm (No. 123)
Asymmetric unit:
Ba (0.0000, 0.0000, 0.0000) x1
Tb (0.0000, 0.0000, 0.5000) x1
Fe (0.5000, 0.5000, 0.2677) x2
O (0.0000, 0.5000, 0.3149) x4
O (0.5000, 0.5000, 0.0000) x1

Most intense lines, 10 to 80 degrees two-theta, low angle first:
two_theta	d (Å)	I_rel	hkl
22.34	3.979	19.2	1 0 0
31.80	2.814	45.0	1 1 0
32.57	2.750	100.0	1 0 2
39.85	2.262	21.0	1 1 2
45.60	1.989	30.0	2 0 0
47.82	1.902	9.2	0 0 4
57.15	1.612	39.4	2 1 2
58.58	1.576	20.4	1 1 4
66.46	1.407	9.0	2 2 0
68.22	1.375	12.3	2 0 4

---

# 5
The following is a computed XRD peak list of BaTi2Fe4O11. It was derived from a cell relaxed with GGA+U, using Cu Kα X-rays.
Peak positions follow from Bragg's law for the DFT cell and can differ from measured ones.

Atomic structure:
Lattice parameters (Å, degrees): 5.9771 10.3568 13.3340 90.00 90.26 90.00
Space group C2/c (No. 15)
Asymmetric unit:
Ba (0.0000, 0.1662, 0.2500) x4
Ti (0.0000, 0.1671, 0.7500) x4
Ti (0.2500, 0.2500, 0.0000) x4
Fe (0.0000, 0.0000, 0.0000) x4
Fe (0.0026, 0.4992, 0.6408) x8
Fe (0.2500, 0.2500, 0.5000) x4
O (0.0000, 0.3455, 0.7500) x4
O (0.0072, 0.1690, 0.9117) x8
O (0.0087, 0.3257, 0.0799) x8
O (0.2328, 0.4222, 0.2516) x8
O (0.2386, 0.0870, 0.4200) x8
O (0.2427, 0.0914, 0.0799) x8

Most intense lines, 10 to 80 degrees two-theta, low angle first:
two_theta	d (Å)	I_rel	hkl
26.74	3.333	28.4	0 0 4
29.89	2.989	65.6	2 0 0
31.90	2.805	77.7	1 1 -4
31.99	2.798	42.1	1 1 4
32.82	2.728	100.0	1 3 2
37.23	2.415	46.7	2 2 -2
40.28	2.239	37.2	2 2 -3
54.30	1.690	51.2	2 2 -6
54.43	1.686	51.7	0 4 6
62.10	1.495	52.5	4 0 0

---

# 6
The following is a computed XRD peak list of BaTi2Fe4O11. It was derived from a cell relaxed with GGA+U, using Cu Kα X-rays.
Peak positions follow from Bragg's law for the DFT cell and can differ from measured ones.

Atomic structure:
Lattice parameters (Å, degrees): 5.9390 10.2697 13.6117 90.00 90.19 90.00
Space group C2/c (No. 15)
Asymmetric unit:
Ba (0.0000, 0.1669, 0.2500) x4
Ti (0.0000, 0.0000, 0.0000) x4
Ti (0.2500, 0.2500, 0.0000) x4
Fe (0.0000, 0.1665, 0.7500) x4
Fe (0.0025, 0.4992, 0.1460) x8
Fe (0.2500, 0.2500, 0.5000) x4
O (0.0000, 0.3499, 0.7500) x4
O (0.0077, 0.1642, 0.9192) x8
O (0.0080, 0.3254, 0.0778) x8
O (0.2248, 0.4252, 0.2515) x8
O (0.2342, 0.0834, 0.4222) x8
O (0.2381, 0.0873, 0.0776) x8

Most intense lines, 10 to 80 degrees two-theta, low angle first:
two_theta	d (Å)	I_rel	hkl
26.19	3.402	32.6	0 0 4
30.12	2.967	56.0	1 3 0
31.53	2.837	90.0	0 2 4
32.93	2.720	100.0	2 0 2
37.44	2.402	29.1	0 4 2
40.37	2.234	25.6	0 4 3
53.84	1.703	26.5	2 2 -6
53.96	1.699	38.4	2 2 6
54.43	1.686	28.4	2 4 4
62.62	1.484	38.3	2 6 0